[1]
Structure and calculated powder XRD pattern of LaScPd (the GGA-PBE geometry in Alexandria; Cu Kα (λ = 1.5418 Å)).

Peak list (6 most intense, 15 to 90 degrees two-theta, low angle first)
h k l, d [Å], Rel. int.
1 1 0, 3.318, 87
1 1 1, 2.991, 45
1 0 2, 2.781, 100
2 0 0, 2.346, 71
1 0 3, 2.067, 38
2 1 2, 1.793, 55

Cell and atoms:
Unit cell a=4.692 b=4.692 c=6.907 alpha=90.00 beta=90.00 gamma=90.00
Space group P4/nmm (No. 129, origin choice 2)
One atom of each set of equivalent atoms:
La: 0.250 0.250 0.120
Sc: 0.250 0.750 0.500
Pd: 0.250 0.250 0.707

[2]
Structure and calculated powder XRD pattern of BaLaCd10 (the GGA-PBE geometry in Alexandria; Cu Kα (λ = 1.5418 Å)).

Peak list (6 most intense, 15 to 90 degrees two-theta, low angle first)
h k l, d [Å], Rel. int.
0 2 2, 2.628, 30
1 1 3, 2.578, 100
2 0 0, 2.444, 31
1 2 2, 2.315, 33
1 3 3, 1.649, 24
2 4 0, 1.289, 23

Cell and atoms:
Unit cell a=4.889 b=6.067 c=10.518 alpha=90.00 beta=90.00 gamma=90.00
Space group Pmmm (No. 47)
One atom of each set of equivalent atoms:
Ba: 0.000 0.000 0.000
La: 0.000 0.500 0.500
Cd: 0.000 0.000 0.338
Cd: 0.000 0.500 0.172
Cd: 0.500 0.000 0.500
Cd: 0.500 0.255 0.259
Cd: 0.500 0.500 0.000

[3]
Structure and calculated powder XRD pattern of K5Na2 (the GGA-PBE geometry in Alexandria; Cu Kα (λ = 1.5418 Å)).

Peak list (6 most intense, 15 to 90 degrees two-theta, low angle first)
h k l, d [Å], Rel. int.
1 0 5, 4.001, 57
1 0 7, 3.609, 100
0 0 12, 3.412, 26
1 1 0, 3.243, 67
1 1 12, 2.351, 34
2 1 7, 1.935, 30

Cell and atoms:
Unit cell a=4.586 b=4.586 c=40.945 alpha=90.00 beta=90.00 gamma=90.00
Space group I4/mmm (No. 139)
One atom of each set of equivalent atoms:
K: 0.000 0.000 0.000
K: 0.000 0.000 0.167
K: 0.000 0.000 0.416
Na: 0.000 0.000 0.270

[4]
Structure and calculated powder XRD pattern of SmP4HO12 (the GGA-PBE geometry in Alexandria; Cu Kα (λ = 1.5418 Å)).

Peak list (6 most intense, 15 to 90 degrees two-theta, low angle first)
h k l, d [Å], Rel. int.
1 -1 1, 4.445, 62
1 0 -2, 4.354, 68
0 2 0, 4.037, 100
0 0 2, 3.972, 64
2 -1 0, 3.379, 55
0 1 -3, 2.777, 55

Cell and atoms:
Unit cell a=7.313 b=8.782 c=9.016 alpha=99.71 beta=112.41 gamma=105.34
Space group P-1 (No. 2)
One atom of each set of equivalent atoms:
Sm: 0.092 0.270 0.257
P: 0.058 0.370 0.653
P: 0.204 0.179 0.893
P: 0.392 0.710 0.422
P: 0.422 0.864 0.150
H: 0.492 0.126 0.262
O: 0.061 0.012 0.768
O: 0.087 0.550 0.701
O: 0.146 0.307 0.541
O: 0.149 0.327 0.827
O: 0.192 0.745 0.432
O: 0.196 0.790 0.022
O: 0.227 0.212 0.068
O: 0.331 0.537 0.318
O: 0.433 0.226 0.400
O: 0.443 0.222 0.908
O: 0.460 0.842 0.329
O: 0.465 0.947 0.809

[5]
Structure and calculated powder XRD pattern of Cs2CuS2 (the GGA-PBE geometry in Alexandria; Cu Kα (λ = 1.5418 Å)).

Peak list (6 most intense, 15 to 90 degrees two-theta, low angle first)
h k l, d [Å], Rel. int.
1 0 3, 4.372, 41
1 1 2, 4.137, 100
2 1 1, 3.206, 53
0 2 0, 3.114, 94
0 1 5, 2.838, 49
2 1 3, 2.787, 40

Cell and atoms:
Unit cell a=7.695 b=6.227 c=15.937 alpha=90.00 beta=90.00 gamma=90.00
Space group Pnma (No. 62)
One atom of each set of equivalent atoms:
Cs: 0.021 0.250 0.134
Cs: 0.168 0.750 0.430
Cu: 0.220 0.750 0.184
S: 0.043 0.250 0.760
S: 0.225 0.750 0.047